Structure and calculated X-ray diffraction stick pattern of Rb3Pm3DyTe8 (a crystal structure in Alexandria, relaxed with GGA-PBE; Cu Kα).

Principal peaks in the range 15 to 90 degrees two-theta, sorted by position:
two_theta, Rel. int.
26.5, 100
33.0, 18
35.5, 35
40.1, 36
41.4, 8
44.1, 12
48.7, 19
54.6, 10
58.5, 10
64.8, 16
67.3, 8
69.9, 10

Cell and atoms:
Cell lengths 10.2613, 10.2613, 10.2613 Å; angles 52.03, 52.03, 52.03 degrees
Positions (direct):
Rb: 0.0000 0.5000 0.5000
Rb: 0.5000 0.0000 0.5000
Rb: 0.5000 0.5000 0.0000
Pm: 0.0000 0.0000 0.5000
Pm: 0.0000 0.5000 0.0000
Pm: 0.5000 0.0000 0.0000
Dy: 0.5000 0.5000 0.5000
Te: 0.2350 0.2350 0.2350
Te: 0.2382 0.7312 0.7312
Te: 0.2688 0.2688 0.7618
Te: 0.2688 0.7618 0.2688
Te: 0.7312 0.2382 0.7312
Te: 0.7312 0.7312 0.2382
Te: 0.7618 0.2688 0.2688
Te: 0.7650 0.7650 0.7650